Calculated powder XRD pattern
Compound: NaAs4IO6
Radiation: a wavelength of 1.5418 Å
Structure: a structure optimized by DFT (GGA-PBE)
Neutral-atom scattering factors, no anomalous dispersion.

Largest 8 diffraction maxima, by angle, 2θ from 5° to 70°:
two_theta, intensity
9.61, 26
27.30, 100
33.45, 55
34.88, 18
49.25, 16
52.44, 21
56.13, 25
61.10, 16

Crystal structure
```
NaAs4IO6
1.0
5.358 0.000 0.000
-2.679 4.640 0.000
0.000 0.000 9.199
Na As I O
1 4 1 6
Direct
0.000 0.000 0.000 Na
0.333 0.667 0.285 As
0.333 0.667 0.715 As
0.667 0.333 0.285 As
0.667 0.333 0.715 As
0.000 0.000 0.500 I
0.000 0.500 0.176 O
0.000 0.500 0.824 O
0.500 0.000 0.176 O
0.500 0.000 0.824 O
0.500 0.500 0.176 O
0.500 0.500 0.824 O
```


Calculated powder XRD pattern
Compound: AsS24I3
Radiation: a wavelength of 1.5418 Å
Structure: a structure optimized by DFT (GGA-PBE)
Neutral-atom scattering factors, no anomalous dispersion.

Largest 8 diffraction maxima, by angle, 2θ from 5° to 70°:
two_theta, intensity
6.78, 66
19.18, 100
24.61, 60
26.42, 28
28.16, 25
29.83, 33
31.39, 25
42.04, 28

Crystal structure
```
AsS24I3
1.0
13.043 7.531 1.691
-13.043 7.531 1.691
0.000 -15.061 1.691
As S I
1 24 3
Direct
0.000 0.000 0.000 As
0.045 0.762 0.762 S
0.120 0.589 0.771 S
0.120 0.771 0.589 S
0.197 0.599 0.599 S
0.368 0.497 0.980 S
0.368 0.980 0.497 S
0.483 0.611 0.872 S
0.483 0.872 0.611 S
0.497 0.368 0.980 S
0.497 0.980 0.368 S
0.589 0.120 0.771 S
0.589 0.771 0.120 S
0.599 0.197 0.599 S
0.599 0.599 0.197 S
0.611 0.483 0.872 S
0.611 0.872 0.483 S
0.762 0.045 0.762 S
0.762 0.762 0.045 S
0.771 0.120 0.589 S
0.771 0.589 0.120 S
0.872 0.483 0.611 S
0.872 0.611 0.483 S
0.980 0.368 0.497 S
0.980 0.497 0.368 S
0.127 0.281 0.281 I
0.281 0.127 0.281 I
0.281 0.281 0.127 I
```


Calculated powder XRD pattern
Compound: InAs
Radiation: a wavelength of 1.5418 Å
Structure: a structure optimized by DFT (GGA-PBE)
Neutral-atom scattering factors, no anomalous dispersion.

Largest 8 diffraction maxima, by angle, 2θ from 5° to 70°:
two_theta, intensity
23.51, 100
24.86, 61
26.64, 79
34.48, 39
41.33, 89
44.89, 90
48.83, 57
62.65, 32

Crystal structure
```
InAs
1.0
4.369 0.000 0.000
-2.185 3.784 0.000
0.000 0.000 7.164
In As
2 2
Direct
0.333 0.667 0.000 In
0.667 0.333 0.500 In
0.333 0.667 0.375 As
0.667 0.333 0.875 As
```


Calculated powder XRD pattern
Compound: InAs
Radiation: a wavelength of 1.5418 Å
Structure: a structure optimized by DFT (GGA-PBE)
Neutral-atom scattering factors, no anomalous dispersion.

Largest 8 diffraction maxima, by angle, 2θ from 5° to 70°:
two_theta, intensity
29.92, 41
31.24, 100
31.67, 89
33.95, 92
43.80, 29
44.13, 27
45.08, 66
46.80, 74

Crystal structure
```
InAs
1.0
2.863 -2.986 0.000
2.863 2.986 0.000
0.000 0.000 16.950
In As
6 6
Direct
0.047 0.953 0.750 In
0.413 0.587 0.590 In
0.413 0.587 0.910 In
0.587 0.413 0.090 In
0.587 0.413 0.410 In
0.953 0.047 0.250 In
0.076 0.924 0.070 As
0.076 0.924 0.430 As
0.443 0.557 0.250 As
0.557 0.443 0.750 As
0.924 0.076 0.570 As
0.924 0.076 0.930 As
```


Calculated powder XRD pattern
Compound: InAs
Radiation: a wavelength of 1.5418 Å
Structure: a structure optimized by DFT (GGA-PBE)
Neutral-atom scattering factors, no anomalous dispersion.

Largest 8 diffraction maxima, by angle, 2θ from 5° to 70°:
two_theta, intensity
24.95, 100
28.89, 4
41.31, 75
48.87, 47
51.19, 1
59.85, 12
65.86, 19
67.80, 1

Crystal structure
```
InAs
1.0
0.000 3.091 3.091
3.091 0.000 3.091
3.091 3.091 0.000
In As
1 1
Direct
0.000 0.000 0.000 In
0.750 0.750 0.750 As
```


Calculated powder XRD pattern
Compound: InAs
Radiation: a wavelength of 1.5418 Å
Structure: a structure optimized by DFT (GGA-PBE)
Neutral-atom scattering factors, no anomalous dispersion.

Largest 6 diffraction maxima, by angle, 2θ from 5° to 70°:
two_theta, intensity
26.83, 8
31.08, 100
44.53, 73
52.76, 3
55.30, 25
64.80, 12

Crystal structure
```
InAs
1.0
0.000 2.877 2.877
2.877 0.000 2.877
2.877 2.877 0.000
In As
1 1
Direct
0.000 0.000 0.000 In
0.500 0.500 0.500 As
```


Calculated powder XRD pattern
Compound: InAs
Radiation: a wavelength of 1.5418 Å
Structure: a structure optimized by DFT (GGA-PBE)
Neutral-atom scattering factors, no anomalous dispersion.

Largest 8 diffraction maxima, by angle, 2θ from 5° to 70°:
two_theta, intensity
23.52, 20
26.34, 8
28.91, 100
44.82, 81
48.10, 19
51.23, 7
62.60, 12
67.85, 12

Crystal structure
```
InAs
1.0
7.566 0.000 0.000
0.000 7.566 0.000
0.000 0.000 7.566
In As
8 8
Direct
0.157 0.157 0.157 In
0.157 0.343 0.657 In
0.343 0.657 0.157 In
0.343 0.843 0.657 In
0.657 0.157 0.343 In
0.657 0.343 0.843 In
0.843 0.657 0.343 In
0.843 0.843 0.843 In
0.141 0.641 0.859 As
0.141 0.859 0.359 As
0.359 0.141 0.859 As
0.359 0.359 0.359 As
0.641 0.641 0.641 As
0.641 0.859 0.141 As
0.859 0.141 0.641 As
0.859 0.359 0.141 As
```


Calculated powder XRD pattern
Compound: K2In2As3
Radiation: a wavelength of 1.5418 Å
Structure: a structure optimized by DFT (GGA-PBE)
Neutral-atom scattering factors, no anomalous dispersion.

Largest 8 diffraction maxima, by angle, 2θ from 5° to 70°:
two_theta, intensity
10.96, 100
12.53, 33
26.89, 38
27.56, 20
28.07, 25
29.48, 32
37.71, 20
44.85, 22

Crystal structure
```
K2In2As3
1.0
14.637 0.000 0.000
0.000 7.273 0.000
-0.025 0.000 16.140
K In As
16 16 24
Direct
0.063 0.083 0.092 K
0.063 0.417 0.592 K
0.156 0.567 0.022 K
0.156 0.933 0.522 K
0.357 0.042 0.007 K
0.357 0.458 0.507 K
0.417 0.546 0.107 K
0.417 0.954 0.607 K
0.583 0.046 0.393 K
0.583 0.454 0.893 K
0.643 0.542 0.493 K
0.643 0.958 0.993 K
0.844 0.067 0.478 K
0.844 0.433 0.978 K
0.937 0.583 0.408 K
0.937 0.917 0.908 K
0.090 0.750 0.258 In
0.090 0.750 0.758 In
0.182 0.230 0.332 In
0.182 0.270 0.832 In
0.316 0.747 0.324 In
0.316 0.753 0.824 In
0.408 0.215 0.270 In
0.408 0.285 0.770 In
0.592 0.715 0.230 In
0.592 0.785 0.730 In
0.684 0.247 0.176 In
0.684 0.253 0.676 In
0.818 0.730 0.168 In
0.818 0.770 0.668 In
0.910 0.250 0.242 In
0.910 0.250 0.742 In
0.022 0.045 0.342 As
0.022 0.455 0.842 As
0.166 0.571 0.391 As
0.166 0.929 0.891 As
0.247 0.645 0.672 As
0.247 0.855 0.172 As
0.252 0.200 0.178 As
0.252 0.300 0.678 As
0.337 0.061 0.409 As
0.337 0.439 0.909 As
0.470 0.542 0.328 As
0.470 0.958 0.828 As
0.530 0.042 0.172 As
0.530 0.458 0.672 As
0.663 0.561 0.091 As
0.663 0.939 0.591 As
0.748 0.700 0.322 As
0.748 0.800 0.822 As
0.753 0.145 0.828 As
0.753 0.355 0.328 As
0.834 0.071 0.109 As
0.834 0.429 0.609 As
0.978 0.545 0.158 As
0.978 0.955 0.658 As
```


Calculated powder XRD pattern
Compound: K6InAs3
Radiation: a wavelength of 1.5418 Å
Structure: a structure optimized by DFT (GGA-PBE)
Neutral-atom scattering factors, no anomalous dispersion.

Largest 8 diffraction maxima, by angle, 2θ from 5° to 70°:
two_theta, intensity
13.33, 39
18.00, 100
30.80, 66
30.91, 70
31.27, 42
33.36, 63
33.73, 64
33.83, 59

Crystal structure
```
K6InAs3
1.0
9.154 0.000 0.000
-4.552 8.059 0.000
-1.748 -2.595 19.713
K In As
24 4 12
Direct
0.032 0.347 0.069 K
0.045 0.744 0.304 K
0.115 0.097 0.196 K
0.164 0.487 0.431 K
0.206 0.920 0.697 K
0.231 0.231 0.555 K
0.253 0.881 0.502 K
0.285 0.647 0.801 K
0.303 0.017 0.056 K
0.370 0.765 0.194 K
0.379 0.629 0.995 K
0.455 0.493 0.305 K
0.545 0.507 0.695 K
0.621 0.371 0.005 K
0.630 0.235 0.806 K
0.697 0.983 0.944 K
0.715 0.353 0.199 K
0.747 0.119 0.498 K
0.769 0.769 0.445 K
0.794 0.080 0.303 K
0.836 0.513 0.569 K
0.885 0.903 0.804 K
0.955 0.256 0.696 K
0.968 0.653 0.931 K
0.283 0.275 0.875 In
0.456 0.139 0.375 In
0.544 0.861 0.625 In
0.717 0.725 0.125 In
0.013 0.309 0.880 As
0.163 0.130 0.380 As
0.241 0.589 0.619 As
0.292 0.993 0.882 As
0.425 0.440 0.131 As
0.445 0.842 0.370 As
0.555 0.158 0.630 As
0.575 0.560 0.869 As
0.708 0.007 0.118 As
0.759 0.411 0.381 As
0.837 0.870 0.620 As
0.987 0.691 0.120 As
```


Calculated powder XRD pattern
Compound: K2NaInAs2
Radiation: a wavelength of 1.5418 Å
Structure: a structure optimized by DFT (GGA-PBE)
Neutral-atom scattering factors, no anomalous dispersion.

Largest 8 diffraction maxima, by angle, 2θ from 5° to 70°:
two_theta, intensity
11.42, 100
14.18, 90
21.62, 51
28.58, 29
29.53, 63
34.91, 66
35.04, 60
37.14, 85

Crystal structure
```
K2NaInAs2
1.0
-3.412 7.749 3.434
3.412 -7.749 3.434
3.412 7.749 -3.434
K Na In As
4 2 2 4
Direct
0.176 0.239 0.415 K
0.324 0.739 0.063 K
0.676 0.261 0.937 K
0.824 0.761 0.585 K
0.250 0.250 0.000 Na
0.750 0.750 0.000 Na
0.250 0.750 0.500 In
0.750 0.250 0.500 In
0.102 0.718 0.819 As
0.398 0.218 0.616 As
0.602 0.782 0.384 As
0.898 0.282 0.181 As
```